The following is a theoretical powder diffraction line list of BaYMgMnCuO5. It was derived from a GGA+U-relaxed structure, using a wavelength of 1.5418 Å.
Kinematic intensities with the Lorentz-polarization factor, no thermal factor.

Atomic structure:
Cell lengths 3.9576, 3.9576, 9.6084 Å; angles 90.14, 90.14, 90.00 degrees
Positions (direct):
Ba  0.0000  0.0000  0.0000
Y  0.0014  0.0014  0.3646
Mg  0.9999  0.9999  0.6502
Mn  0.5002  0.5002  0.6947
Cu  0.5004  0.5004  0.2317
O  0.0005  0.5004  0.2472
O  0.9998  0.4995  0.5930
O  0.5004  0.0005  0.2472
O  0.4995  0.9998  0.5930
O  0.5003  0.5003  0.9109

Top 10 peaks for 5 to 70 degrees two-theta, low angle first:
| Position (°2θ) | Rel. int. |
| --- | --- |
| 9.20 | 33 |
| 22.47 | 19 |
| 27.86 | 37 |
| 29.24 | 100 |
| 31.98 | 73 |
| 36.08 | 53 |
| 42.89 | 30 |
| 45.86 | 50 |
| 55.30 | 24 |
| 66.87 | 15 |



The following is a theoretical powder diffraction line list of MgV2Rh2O8. It was derived from a GGA+U-relaxed structure, using a wavelength of 1.5418 Å.
Kinematic intensities with the Lorentz-polarization factor, no thermal factor.

Atomic structure:
Cell lengths 5.5808, 5.6238, 5.6987 Å; angles 106.75, 105.87, 114.89 degrees
Positions (direct):
Mg  0.0000  0.0000  0.0000
V  0.4886  0.5100  0.4968
V  0.6990  0.2675  0.9723
Rh  0.2615  0.7277  0.9972
Rh  0.9895  0.9944  0.4946
O  0.0568  0.2893  0.3301
O  0.4422  0.2427  0.6815
O  0.4606  0.1923  0.1695
O  0.5434  0.7457  0.3152
O  0.5471  0.8184  0.8234
O  0.9292  0.7033  0.6621
O  0.9627  0.6917  0.1590
O  0.9988  0.2779  0.8292

Top 10 peaks for 5 to 70 degrees two-theta, low angle first:
| Position (°2θ) | Rel. int. |
| --- | --- |
| 19.66 | 40 |
| 26.23 | 98 |
| 26.40 | 100 |
| 34.89 | 41 |
| 35.17 | 76 |
| 35.47 | 34 |
| 36.99 | 32 |
| 51.87 | 32 |
| 52.51 | 56 |
| 54.35 | 24 |



The following is a theoretical powder diffraction line list of LiCoPO4. It was derived from a GGA+U-relaxed structure, using a wavelength of 1.5418 Å.
Kinematic intensities with the Lorentz-polarization factor, no thermal factor.

Atomic structure:
Cell lengths 10.0774, 5.0560, 13.6163 Å; angles 90.00, 90.00, 90.00 degrees
Positions (direct):
Li  0.0310  0.0721  0.0000
Li  0.2203  0.4467  0.2502
Li  0.2797  0.4467  0.7502
Li  0.4690  0.0721  0.5000
Li  0.5310  0.9279  0.0000
Li  0.7203  0.5533  0.2502
Li  0.7797  0.5533  0.7502
Li  0.9690  0.9279  0.5000
Co  0.0362  0.9395  0.2506
Co  0.2169  0.4445  0.5002
Co  0.2831  0.4445  0.0002
Co  0.4638  0.9395  0.7506
Co  0.5362  0.0605  0.2506
Co  0.7169  0.5555  0.5002
Co  0.7831  0.5555  0.0002
Co  0.9638  0.0605  0.7506
P  0.0306  0.5651  0.8753
P  0.2154  0.9470  0.6266
P  0.2846  0.9470  0.1266
P  0.4694  0.5651  0.3753
P  0.5306  0.4349  0.8753
P  0.7154  0.0530  0.6266
P  0.7846  0.0530  0.1266
P  0.9694  0.4349  0.3753
O  0.0012  0.8671  0.8752
O  0.0318  0.5577  0.4694
O  0.0332  0.5558  0.2815
O  0.0639  0.0030  0.6276
O  0.1818  0.5079  0.8763
O  0.2206  0.0636  0.2209
O  0.2253  0.0779  0.0328
O  0.2452  0.6452  0.6244
O  0.2548  0.6452  0.1244
O  0.2747  0.0779  0.5328
O  0.2794  0.0636  0.7209
O  0.3182  0.5079  0.3763
O  0.4361  0.0030  0.1276
O  0.4668  0.5558  0.7815
O  0.4682  0.5577  0.9694
O  0.4988  0.8671  0.3752
O  0.5012  0.1329  0.8752
O  0.5318  0.4423  0.4694
O  0.5332  0.4442  0.2815
O  0.5639  0.9970  0.6276
O  0.6818  0.4921  0.8763
O  0.7206  0.9364  0.2209
O  0.7253  0.9221  0.0328
O  0.7452  0.3548  0.6244
O  0.7548  0.3548  0.1244
O  0.7747  0.9221  0.5328
O  0.7794  0.9364  0.7209
O  0.8182  0.4921  0.3763
O  0.9361  0.9970  0.1276
O  0.9668  0.4442  0.7815
O  0.9682  0.4423  0.9694
O  0.9988  0.1329  0.3752

Top 10 peaks for 5 to 70 degrees two-theta, low angle first:
| Position (°2θ) | Rel. int. |
| --- | --- |
| 21.92 | 100 |
| 26.43 | 8 |
| 31.91 | 9 |
| 35.51 | 16 |
| 35.64 | 15 |
| 36.48 | 9 |
| 41.75 | 8 |
| 42.17 | 10 |
| 43.73 | 8 |
| 53.86 | 6 |



The following is a theoretical powder diffraction line list of Li9Mn2Co5O16. It was derived from a GGA+U-relaxed structure, using a wavelength of 1.5418 Å.
Kinematic intensities with the Lorentz-polarization factor, no thermal factor.

Atomic structure:
Cell lengths 5.2311, 11.3353, 5.2349 Å; angles 90.00, 112.71, 90.00 degrees
Positions (direct):
Li  0.0000  0.0000  0.0000
Li  0.0000  0.1186  0.5000
Li  0.0000  0.2406  0.0000
Li  0.0000  0.4922  0.0000
Li  0.0000  0.7417  0.0000
Li  0.5000  0.1154  0.0000
Li  0.5000  0.3692  0.0000
Li  0.5000  0.6178  0.0000
Li  0.5000  0.8723  0.0000
Mn  0.0000  0.8734  0.5000
Mn  0.5000  0.7418  0.5000
Co  0.0000  0.3619  0.5000
Co  0.0000  0.6171  0.5000
Co  0.5000  0.2430  0.5000
Co  0.5000  0.4919  0.5000
Co  0.5000  0.9987  0.5000
O  0.2233  0.4927  0.7228
O  0.2238  0.7416  0.7330
O  0.2297  0.2566  0.7343
O  0.2385  0.9852  0.7361
O  0.2467  0.8697  0.2906
O  0.2720  0.3687  0.2774
O  0.2723  0.6160  0.2696
O  0.2826  0.1203  0.2696
O  0.7174  0.1203  0.7304
O  0.7280  0.3687  0.7226
O  0.7277  0.6160  0.7304
O  0.7533  0.8697  0.7094
O  0.7615  0.9852  0.2639
O  0.7703  0.2566  0.2657
O  0.7762  0.7416  0.2670
O  0.7767  0.4927  0.2772

Top 10 peaks for 5 to 70 degrees two-theta, low angle first:
| Position (°2θ) | Rel. int. |
| --- | --- |
| 7.80 | 9 |
| 18.37 | 100 |
| 34.55 | 19 |
| 36.78 | 23 |
| 37.25 | 8 |
| 41.45 | 33 |
| 44.72 | 50 |
| 47.48 | 10 |
| 58.78 | 9 |
| 62.61 | 31 |



The following is a theoretical powder diffraction line list of Li2VC2O6. It was derived from a GGA+U-relaxed structure, using a wavelength of 1.5418 Å.
Kinematic intensities with the Lorentz-polarization factor, no thermal factor.

Atomic structure:
Cell lengths 6.5305, 4.8995, 8.4882 Å; angles 90.00, 100.03, 90.00 degrees
Positions (direct):
Li  0.0485  0.0000  0.1549
Li  0.4158  0.9329  0.5570
Li  0.5842  0.4329  0.4430
Li  0.9515  0.5000  0.8451
V  0.2916  0.9585  0.9041
V  0.7084  0.4585  0.0959
C  0.2390  0.4960  0.1032
C  0.2961  0.4386  0.6741
C  0.7039  0.9386  0.3259
C  0.7610  0.9960  0.8968
O  0.0538  0.3981  0.1004
O  0.2039  0.5866  0.7679
O  0.2784  0.7516  0.1323
O  0.2837  0.1738  0.6826
O  0.3839  0.3311  0.0720
O  0.3944  0.5509  0.5721
O  0.6056  0.0509  0.4279
O  0.6161  0.8311  0.9280
O  0.7163  0.6738  0.3174
O  0.7216  0.2516  0.8677
O  0.7961  0.0866  0.2321
O  0.9462  0.8981  0.8996

Top 10 peaks for 5 to 70 degrees two-theta, low angle first:
| Position (°2θ) | Rel. int. |
| --- | --- |
| 10.58 | 100 |
| 13.77 | 10 |
| 15.86 | 10 |
| 18.82 | 22 |
| 27.75 | 17 |
| 28.06 | 33 |
| 33.50 | 7 |
| 37.11 | 17 |
| 41.58 | 10 |
| 43.27 | 7 |



The following is a theoretical powder diffraction line list of Li9Mn2Co5O16. It was derived from a GGA+U-relaxed structure, using a wavelength of 1.5418 Å.
Kinematic intensities with the Lorentz-polarization factor, no thermal factor.

Atomic structure:
Cell lengths 3.0280, 9.8327, 10.1174 Å; angles 77.02, 88.69, 87.33 degrees
Positions (direct):
Li  0.0000  0.0000  0.0000
Li  0.0002  0.0000  0.4954
Li  0.4958  0.2477  0.3668
Li  0.4978  0.2529  0.8765
Li  0.4980  0.7495  0.1232
Li  0.4975  0.7520  0.6193
Li  0.9907  0.5015  0.2418
Li  0.9964  0.4988  0.7498
Li  0.9967  0.2499  0.1220
Mn  0.0041  0.7473  0.8729
Mn  0.4947  0.5012  0.4957
Co  0.0011  0.7551  0.3682
Co  0.4886  0.4883  0.0017
Co  0.4971  0.0112  0.2429
Co  0.5035  0.0007  0.7468
Co  0.9922  0.2488  0.6232
O  0.0125  0.8745  0.6941
O  0.0231  0.6229  0.0494
O  0.0245  0.1152  0.3041
O  0.0318  0.6303  0.5487
O  0.4719  0.6180  0.8261
O  0.4803  0.3735  0.6733
O  0.4925  0.8804  0.4163
O  0.4940  0.1105  0.0772
O  0.4983  0.3895  0.1674
O  0.5033  0.1244  0.5708
O  0.5077  0.6290  0.3186
O  0.5352  0.8761  0.9246
O  0.9584  0.3727  0.4425
O  0.9635  0.3844  0.9405
O  0.9641  0.8777  0.1947
O  0.9934  0.1257  0.8009

Top 10 peaks for 5 to 70 degrees two-theta, low angle first:
| Position (°2θ) | Rel. int. |
| --- | --- |
| 18.31 | 100 |
| 34.40 | 20 |
| 35.79 | 14 |
| 36.82 | 11 |
| 37.07 | 8 |
| 41.35 | 34 |
| 43.47 | 28 |
| 44.98 | 25 |
| 61.30 | 9 |
| 64.86 | 9 |



The following is a theoretical powder diffraction line list of RbMg6MnO8. It was derived from a GGA+U-relaxed structure, using a wavelength of 1.5418 Å.
Kinematic intensities with the Lorentz-polarization factor, no thermal factor.

Atomic structure:
Cell lengths 4.5654, 4.5654, 8.7041 Å; angles 90.00, 90.00, 90.00 degrees
Positions (direct):
Rb  0.0000  0.0000  0.0000
Mg  0.0000  0.5000  0.2534
Mg  0.0000  0.5000  0.7466
Mg  0.5000  0.0000  0.2534
Mg  0.5000  0.0000  0.7466
Mg  0.5000  0.5000  0.0000
Mg  0.5000  0.5000  0.5000
Mn  0.0000  0.0000  0.5000
O  0.0000  0.0000  0.2817
O  0.0000  0.0000  0.7183
O  0.0000  0.5000  0.0000
O  0.0000  0.5000  0.5000
O  0.5000  0.0000  0.0000
O  0.5000  0.0000  0.5000
O  0.5000  0.5000  0.2518
O  0.5000  0.5000  0.7482

Top 10 peaks for 5 to 70 degrees two-theta, low angle first:
| Position (°2θ) | Rel. int. |
| --- | --- |
| 19.44 | 29 |
| 20.41 | 14 |
| 27.63 | 12 |
| 28.33 | 24 |
| 34.59 | 44 |
| 39.48 | 100 |
| 41.50 | 41 |
| 57.06 | 30 |
| 58.61 | 52 |
| 68.47 | 15 |